Starting from a crystal structure in Alexandria, relaxed with GGA+U, the X-ray powder pattern of Li7Fe5O12 was calculated for Cu Kα (λ = 1.5418 Å).
No peak broadening, texture or thermal motion is included.

Atomic structure:
a b c (Å): 5.245 8.711 9.615
angles (deg): 90.00 98.30 90.00
Space group C2 (No. 5)
Symmetry-distinct sites (fractional):
Li 0.000 0.000 0.000 x2
Li 0.000 0.168 0.500 x2
Li 0.000 0.673 0.000 x2
Li 0.241 0.333 0.751 x4
Li 0.242 0.508 0.241 x4
Fe 0.000 0.343 0.000 x2
Fe 0.000 0.497 0.500 x2
Fe 0.000 0.840 0.500 x2
Fe 0.246 0.165 0.242 x4
O 0.093 0.669 0.370 x4
O 0.097 0.182 0.872 x4
O 0.126 0.503 0.878 x4
O 0.144 0.002 0.379 x4
O 0.147 0.334 0.383 x4
O 0.168 0.833 0.885 x4

Largest 10 diffraction maxima, by intensity, 2θ = 5–70°:
two_theta  I_rel  hkl
20.9  100.0  1 1 -1
44.1  80.7  1 3 -3
27.8  52.7  0 2 2
42.0  45.0  2 0 2
62.0  23.1  3 3 -1
63.1  22.2  1 3 5
9.3  15.3  0 0 1
36.8  12.0  1 1 3
40.5  11.5  2 2 0
64.3  10.8  2 0 -6